[1]
# Ba6Pb2ClO
Calculated powder XRD pattern, copper Kα. Input: DFT lattice parameters and positions (GGA-PBE).
Kinematic intensities with the Lorentz-polarization factor, no thermal factor.

Peak list (10 most intense, 2θ from 10° to 80°, by angle)
2theta  d/Å  I (rel.)  (hkl)
21.8  4.078  82  2 0 0
26.8  3.330  1000  2 2 0
31.0  2.884  616  2 0 2
38.2  2.354  34  3 2 1
44.4  2.039  441  4 0 0
52.6  1.739  446  4 2 2
55.2  1.665  151  4 4 0
64.6  1.442  69  4 0 4
71.3  1.323  174  6 2 0
73.4  1.290  186  6 0 2

Structure:
abc: 8.158 11.527 8.159
angles: 90.00 90.00 90.00
Atoms (fractional coordinates):
Ba 0.014 0.250 0.015
Ba 0.015 0.250 0.486
Ba 0.250 0.015 0.250
Ba 0.250 0.485 0.250
Ba 0.485 0.250 0.486
Ba 0.486 0.250 0.015
Ba 0.514 0.750 0.985
Ba 0.515 0.750 0.514
Ba 0.750 0.515 0.750
Ba 0.750 0.985 0.750
Ba 0.985 0.750 0.514
Ba 0.986 0.750 0.985
Pb 0.250 0.000 0.750
Pb 0.250 0.500 0.750
Pb 0.750 0.000 0.250
Pb 0.750 0.500 0.250
Cl 0.250 0.750 0.249
Cl 0.750 0.250 0.751
O 0.250 0.250 0.251
O 0.750 0.750 0.749

***

[2]
# Ba5Re3ClO15
Calculated powder XRD pattern, copper Kα. Input: DFT lattice parameters and positions (GGA-PBE).
Kinematic intensities with the Lorentz-polarization factor, no thermal factor.

Peak list (10 most intense, 2θ from 10° to 80°, by angle)
2theta  d/Å  I (rel.)  (hkl)
19.5  4.560  258  1 1 1
22.3  3.981  318  0 0 2
26.9  3.312  1000  2 1 1
27.6  3.237  955  1 1 2
27.8  3.212  901  3 0 0
35.4  2.533  334  3 1 1
39.5  2.280  273  2 2 2
42.1  2.145  254  2 1 3
51.5  1.775  236  4 2 1
54.2  1.691  234  3 0 4

Structure:
abc: 11.125 11.125 7.962
angles: 90.00 90.00 120.00
Atoms (fractional coordinates):
Ba 0.000 0.266 0.000
Ba 0.000 0.734 0.500
Ba 0.266 0.000 0.000
Ba 0.266 0.266 0.500
Ba 0.333 0.667 0.260
Ba 0.333 0.667 0.760
Ba 0.667 0.333 0.260
Ba 0.667 0.333 0.760
Ba 0.734 0.000 0.500
Ba 0.734 0.734 0.000
Re 0.000 0.391 0.556
Re 0.000 0.609 0.056
Re 0.391 0.000 0.556
Re 0.391 0.391 0.056
Re 0.609 0.000 0.056
Re 0.609 0.609 0.556
Cl 0.000 0.000 0.182
Cl 0.000 0.000 0.682
O 0.000 0.295 0.379
O 0.000 0.705 0.879
O 0.131 0.554 0.015
O 0.131 0.576 0.515
O 0.132 0.390 0.697
O 0.132 0.742 0.197
O 0.258 0.390 0.197
O 0.258 0.868 0.697
O 0.295 0.000 0.379
O 0.295 0.295 0.879
O 0.390 0.132 0.697
O 0.390 0.258 0.197
O 0.424 0.554 0.515
O 0.424 0.869 0.015
O 0.446 0.576 0.015
O 0.446 0.869 0.515
O 0.554 0.131 0.015
O 0.554 0.424 0.515
O 0.576 0.131 0.515
O 0.576 0.446 0.015
O 0.610 0.742 0.697
O 0.610 0.868 0.197
O 0.705 0.000 0.879
O 0.705 0.705 0.379
O 0.742 0.132 0.197
O 0.742 0.610 0.697
O 0.868 0.258 0.697
O 0.868 0.610 0.197
O 0.869 0.424 0.015
O 0.869 0.446 0.515

***

[3]
# Ba3Sr2Re3ClO15
Calculated powder XRD pattern, copper Kα. Input: DFT lattice parameters and positions (GGA-PBE).
Kinematic intensities with the Lorentz-polarization factor, no thermal factor.

Peak list (10 most intense, 2θ from 10° to 80°, by angle)
2theta  d/Å  I (rel.)  (hkl)
16.3  5.431  209  1 1 0
19.9  4.464  253  1 1 1
22.7  3.920  371  0 0 2
27.5  3.238  1000  2 1 1
28.1  3.179  675  1 1 2
28.5  3.135  625  3 0 0
36.3  2.475  310  3 1 1
43.0  2.106  254  2 1 3
49.4  1.846  213  3 1 3
52.8  1.734  200  4 2 1

Structure:
abc: 10.861 10.861 7.841
angles: 90.00 90.00 120.00
Atoms (fractional coordinates):
Ba 0.000 0.261 0.000
Ba 0.000 0.739 0.500
Ba 0.261 0.000 0.000
Ba 0.261 0.261 0.500
Ba 0.739 0.000 0.500
Ba 0.739 0.739 0.000
Sr 0.333 0.667 0.250
Sr 0.333 0.667 0.750
Sr 0.667 0.333 0.250
Sr 0.667 0.333 0.750
Re 0.000 0.392 0.444
Re 0.000 0.608 0.944
Re 0.392 0.000 0.444
Re 0.392 0.392 0.944
Re 0.608 0.000 0.944
Re 0.608 0.608 0.444
Cl 0.000 0.000 0.285
Cl 0.000 0.000 0.785
O 0.000 0.287 0.615
O 0.000 0.713 0.115
O 0.135 0.395 0.297
O 0.135 0.740 0.797
O 0.136 0.556 0.991
O 0.136 0.580 0.491
O 0.260 0.395 0.797
O 0.260 0.865 0.297
O 0.287 0.000 0.615
O 0.287 0.287 0.115
O 0.395 0.135 0.297
O 0.395 0.260 0.797
O 0.420 0.556 0.491
O 0.420 0.864 0.991
O 0.444 0.580 0.991
O 0.444 0.864 0.491
O 0.556 0.136 0.991
O 0.556 0.420 0.491
O 0.580 0.136 0.491
O 0.580 0.444 0.991
O 0.605 0.740 0.297
O 0.605 0.865 0.797
O 0.713 0.000 0.115
O 0.713 0.713 0.615
O 0.740 0.135 0.797
O 0.740 0.605 0.297
O 0.864 0.420 0.991
O 0.864 0.444 0.491
O 0.865 0.260 0.297
O 0.865 0.605 0.797

***

[4]
# Ba6Ru3Cl2O12
Calculated powder XRD pattern, copper Kα. Input: DFT lattice parameters and positions (GGA-PBE).
Kinematic intensities with the Lorentz-polarization factor, no thermal factor.

Peak list (10 most intense, 2θ from 10° to 80°, by angle)
2theta  d/Å  I (rel.)  (hkl)
18.3  4.858  238  0 1 1
24.8  3.584  482  1 0 3
29.5  3.030  465  0 1 4
30.1  2.964  1000  1 1 0
39.5  2.284  316  0 2 3
42.7  2.119  246  2 0 4
50.4  1.809  137  2 1 3
53.1  1.724  166  1 2 4
53.5  1.711  195  3 0 0
62.7  1.482  171  2 2 0

Structure:
abc: 5.928 5.928 15.013
angles: 90.00 90.00 120.00
Atoms (fractional coordinates):
Ba 0.333 0.667 0.078
Ba 0.333 0.667 0.361
Ba 0.333 0.667 0.787
Ba 0.667 0.333 0.213
Ba 0.667 0.333 0.639
Ba 0.667 0.333 0.922
Ru 0.000 0.000 0.000
Ru 0.000 0.000 0.173
Ru 0.000 0.000 0.827
Cl 0.333 0.667 0.576
Cl 0.667 0.333 0.424
O 0.156 0.313 0.919
O 0.156 0.844 0.919
O 0.159 0.318 0.238
O 0.159 0.841 0.238
O 0.313 0.156 0.081
O 0.318 0.159 0.762
O 0.682 0.841 0.238
O 0.687 0.844 0.919
O 0.841 0.159 0.762
O 0.841 0.682 0.762
O 0.844 0.156 0.081
O 0.844 0.687 0.081